For Eu2Mo2O7, DFT lattice parameters and positions (PBE+U) gives the computed powder diffractogram in this record (Cu Kα (λ = 1.5418 Å)).
No peak broadening, texture or thermal motion is included.

Crystal structure
```
data_Eu2Mo2O7
_symmetry_space_group_name_H-M 'P 1'
_symmetry_Int_Tables_number 1
_cell_length_a 7.4633
_cell_length_b 7.4633
_cell_length_c 7.4633
_cell_angle_alpha 60.00
_cell_angle_beta 60.00
_cell_angle_gamma 60.00
loop_
_symmetry_equiv_pos_as_xyz
'x,y,z'
loop_
_atom_site_label
_atom_site_fract_x
_atom_site_fract_y
_atom_site_fract_z
Eu1 0.0000 0.0000 0.0000
Eu2 0.0000 0.0000 0.5000
Eu3 0.0000 0.5000 0.0000
Eu4 0.5000 0.0000 0.0000
Mo1 0.0000 0.5000 0.5000
Mo2 0.5000 0.0000 0.5000
Mo3 0.5000 0.5000 0.0000
Mo4 0.5000 0.5000 0.5000
O1 0.1250 0.1250 0.1250
O2 0.1746 0.1746 0.5754
O3 0.1746 0.5754 0.1746
O4 0.1746 0.5754 0.5754
O5 0.4246 0.4246 0.8254
O6 0.4246 0.8254 0.4246
O7 0.4246 0.8254 0.8254
O8 0.5754 0.1746 0.1746
O9 0.5754 0.1746 0.5754
O10 0.5754 0.5754 0.1746
O11 0.8254 0.4246 0.4246
O12 0.8254 0.4246 0.8254
O13 0.8254 0.8254 0.4246
O14 0.8750 0.8750 0.8750
```

Principal peaks in the range 5° ≤ 2θ ≤ 70°, low angle first:
2θ 14.54, d = 6.094 Å, intensity 3
2θ 28.04, d = 3.182 Å, intensity 2
2θ 29.31, d = 3.047 Å, intensity 100
2θ 33.98, d = 2.639 Å, intensity 33
2θ 37.13, d = 2.421 Å, intensity 6
2θ 44.61, d = 2.031 Å, intensity 2
2θ 48.81, d = 1.866 Å, intensity 46
2θ 51.20, d = 1.784 Å, intensity 2
2θ 57.96, d = 1.591 Å, intensity 43
2θ 60.80, d = 1.523 Å, intensity 10

For EuMoO2, DFT lattice parameters and positions (PBE+U) gives the computed powder diffractogram in this record (Cu Kα (λ = 1.5418 Å)).
No peak broadening, texture or thermal motion is included.

Crystal structure
```
data_EuMoO2
_symmetry_space_group_name_H-M 'P 1'
_symmetry_Int_Tables_number 1
_cell_length_a 7.6101
_cell_length_b 7.6101
_cell_length_c 7.6101
_cell_angle_alpha 129.28
_cell_angle_beta 129.28
_cell_angle_gamma 74.56
loop_
_symmetry_equiv_pos_as_xyz
'x,y,z'
loop_
_atom_site_label
_atom_site_fract_x
_atom_site_fract_y
_atom_site_fract_z
Eu1 0.0000 0.0000 0.0000
Eu2 0.0000 0.0000 0.5000
Eu3 0.0000 0.5000 0.0000
Eu4 0.5000 0.0000 0.5000
Mo1 0.0000 0.5000 0.5000
Mo2 0.5000 0.0000 0.0000
Mo3 0.5000 0.5000 0.0000
Mo4 0.5000 0.5000 0.5000
O1 0.2079 0.2375 0.5296
O2 0.2079 0.6784 0.9704
O3 0.2375 0.2079 0.0296
O4 0.3216 0.7921 0.5296
O5 0.6784 0.2079 0.4704
O6 0.7625 0.7921 0.9704
O7 0.7921 0.3216 0.0296
O8 0.7921 0.7625 0.4704
```

Principal peaks in the range 5° ≤ 2θ ≤ 70°, low angle first:
2θ 15.44, d = 5.740 Å, intensity 8
2θ 29.50, d = 3.028 Å, intensity 42
2θ 31.16, d = 2.870 Å, intensity 100
2θ 31.57, d = 2.834 Å, intensity 5
2θ 39.08, d = 2.305 Å, intensity 43
2θ 49.72, d = 1.834 Å, intensity 38
2θ 53.39, d = 1.716 Å, intensity 27
2θ 56.47, d = 1.630 Å, intensity 14
2θ 64.99, d = 1.435 Å, intensity 16
2θ 65.91, d = 1.417 Å, intensity 25

For EuMoO5, DFT lattice parameters and positions (PBE+U) gives the computed powder diffractogram in this record (Cu Kα (λ = 1.5418 Å)).
No peak broadening, texture or thermal motion is included.

Crystal structure
```
data_EuMoO5
_symmetry_space_group_name_H-M 'P 1'
_symmetry_Int_Tables_number 1
_cell_length_a 5.3802
_cell_length_b 12.7277
_cell_length_c 6.9611
_cell_angle_alpha 90.00
_cell_angle_beta 114.22
_cell_angle_gamma 90.00
loop_
_symmetry_equiv_pos_as_xyz
'x,y,z'
loop_
_atom_site_label
_atom_site_fract_x
_atom_site_fract_y
_atom_site_fract_z
Eu1 0.1367 0.0564 0.2914
Eu2 0.1367 0.4436 0.7914
Eu3 0.8633 0.5564 0.2086
Eu4 0.8633 0.9436 0.7086
Mo1 0.4128 0.1407 0.8589
Mo2 0.4128 0.3593 0.3589
Mo3 0.5872 0.6407 0.6411
Mo4 0.5872 0.8593 0.1411
O1 0.0033 0.0896 0.5622
O2 0.0033 0.4104 0.0622
O3 0.2138 0.0628 0.9700
O4 0.2138 0.4372 0.4700
O5 0.2687 0.6561 0.4245
O6 0.2687 0.8439 0.9245
O7 0.2962 0.2286 0.2895
O8 0.2962 0.2714 0.7895
O9 0.4980 0.5732 0.8407
O10 0.4980 0.9268 0.3407
O11 0.5020 0.0732 0.6593
O12 0.5020 0.4268 0.1593
O13 0.7038 0.7286 0.2105
O14 0.7038 0.7714 0.7105
O15 0.7313 0.1561 0.0755
O16 0.7313 0.3439 0.5755
O17 0.7862 0.5628 0.5300
O18 0.7862 0.9372 0.0300
O19 0.9967 0.5896 0.9378
O20 0.9967 0.9104 0.4378
```

Principal peaks in the range 5° ≤ 2θ ≤ 70°, low angle first:
2θ 13.92, d = 6.364 Å, intensity 89
2θ 19.39, d = 4.578 Å, intensity 64
2θ 22.62, d = 3.931 Å, intensity 82
2θ 22.89, d = 3.886 Å, intensity 51
2θ 26.46, d = 3.369 Å, intensity 61
2θ 27.57, d = 3.235 Å, intensity 59
2θ 28.07, d = 3.179 Å, intensity 100
2θ 30.63, d = 2.919 Å, intensity 50
2θ 31.46, d = 2.844 Å, intensity 60
2θ 34.07, d = 2.632 Å, intensity 56